Cs8Au3Se: calculated powder X-ray diffraction pattern (Cu Kα (weighted mean of Kα1 and Kα2)), based on a structure optimized by DFT (PBE).

Most intense lines, 10 to 90 degrees two-theta, sorted by position:
- hkl 1 1 1, 17.68°, 5.015 Å, I = 33.6
- hkl 2 0 0, 20.45°, 4.343 Å, I = 5.8
- hkl 2 2 0, 29.08°, 3.071 Å, I = 100.0
- hkl 3 1 1, 34.24°, 2.619 Å, I = 20.3
- hkl 4 0 0, 41.59°, 2.172 Å, I = 18.7
- hkl 3 3 1, 45.52°, 1.993 Å, I = 9.3
- hkl 4 2 2, 51.54°, 1.773 Å, I = 39.8
- hkl 5 1 1, 54.92°, 1.672 Å, I = 7.1
- hkl 4 4 0, 60.27°, 1.536 Å, I = 12.4
- hkl 5 3 1, 63.34°, 1.468 Å, I = 7.0
- hkl 6 2 0, 68.29°, 1.373 Å, I = 17.1
- hkl 6 4 2, 83.23°, 1.161 Å, I = 20.0

Atomic structure:
Cell lengths 8.6866, 8.6866, 8.6866 Å; angles 90.00, 90.00, 90.00 degrees
Space group Pm-3m (No. 221)
Unique sites:
Cs1 0.2439 0.2439 0.2439
Au1 0.0000 0.5000 0.5000
Se1 0.0000 0.0000 0.0000

---

CsSnAuSe3: calculated powder X-ray diffraction pattern (Cu Kα (weighted mean of Kα1 and Kα2)), based on a structure optimized by DFT (PBE).

Most intense lines, 10 to 90 degrees two-theta, sorted by position:
- hkl 2 0 0, 13.06°, 6.781 Å, I = 37.8
- hkl 2 0 -1, 13.89°, 6.375 Å, I = 21.9
- hkl 1 1 1, 19.00°, 4.671 Å, I = 29.7
- hkl 4 0 -1, 24.42°, 3.646 Å, I = 34.0
- hkl 0 2 1, 25.18°, 3.536 Å, I = 22.9
- hkl 2 2 -1, 26.30°, 3.389 Å, I = 100.0
- hkl 4 0 -2, 27.99°, 3.187 Å, I = 25.2
- hkl 2 0 2, 31.09°, 2.876 Å, I = 18.7
- hkl 4 2 1, 39.92°, 2.258 Å, I = 20.5
- hkl 4 0 2, 41.92°, 2.155 Å, I = 17.7
- hkl 6 2 -3, 48.51°, 1.877 Å, I = 17.1
- hkl 2 2 3, 48.65°, 1.872 Å, I = 18.4

Atomic structure:
Cell lengths 14.6289, 8.0010, 8.1597 Å; angles 90.00, 112.01, 90.00 degrees
Space group C2/m (No. 12)
Unique sites:
Cs1 0.1566 0.0000 0.2551
Sn1 0.0724 0.5000 0.8728
Au1 0.0000 0.2212 0.5000
Se1 0.1181 0.5000 0.2165
Se2 0.1336 0.2256 0.7909

---

Cs2ThAuSe4: calculated powder X-ray diffraction pattern (Cu Kα (weighted mean of Kα1 and Kα2)), based on a structure optimized by DFT (PBE).

Most intense lines, 10 to 90 degrees two-theta, sorted by position:
- hkl 1 0 1, 14.53°, 6.095 Å, I = 25.4
- hkl 2 0 0, 21.55°, 4.125 Å, I = 28.7
- hkl 1 1 2, 24.92°, 3.574 Å, I = 100.0
- hkl 2 2 0, 30.65°, 2.916 Å, I = 37.2
- hkl 3 1 2, 39.90°, 2.260 Å, I = 59.3
- hkl 2 0 4, 45.77°, 1.983 Å, I = 25.2
- hkl 2 4 0, 49.41°, 1.845 Å, I = 16.5
- hkl 3 3 2, 51.13°, 1.787 Å, I = 22.6
- hkl 1 5 2, 60.80°, 1.523 Å, I = 23.5
- hkl 4 2 4, 65.28°, 1.429 Å, I = 12.0
- hkl 1 3 6, 72.43°, 1.305 Å, I = 12.8
- hkl 7 1 2, 86.06°, 1.130 Å, I = 17.9

Atomic structure:
Cell lengths 8.2491, 8.2491, 9.0436 Å; angles 90.00, 90.00, 90.00 degrees
Space group I-4 (No. 82)
Unique sites:
Cs1 0.0000 0.0000 0.0000
Cs2 0.0000 0.5000 0.2500
Th1 0.0000 0.5000 0.7500
Au1 0.0000 0.0000 0.5000
Se1 0.1563 0.7415 0.5868

---

CsTh2Au2Se6: calculated powder X-ray diffraction pattern (Cu Kα (weighted mean of Kα1 and Kα2)), based on a structure optimized by DFT (PBE).

Most intense lines, 10 to 90 degrees two-theta, sorted by position:
- hkl 0 0 1, 12.94°, 6.842 Å, I = 24.5
- hkl 1 -1 0, 13.90°, 6.369 Å, I = 60.6
- hkl -2 1 1, 22.70°, 3.918 Å, I = 23.5
- hkl 1 0 1, 24.60°, 3.619 Å, I = 21.4
- hkl 1 1 -2, 25.35°, 3.513 Å, I = 100.0
- hkl -2 2 1, 27.24°, 3.274 Å, I = 26.5
- hkl 1 1 1, 33.22°, 2.697 Å, I = 40.4
- hkl 2 -3 0, 35.58°, 2.523 Å, I = 21.9
- hkl -2 3 1, 36.54°, 2.459 Å, I = 19.0
- hkl 3 -2 0, 39.14°, 2.302 Å, I = 27.6
- hkl 0 0 3, 39.49°, 2.282 Å, I = 21.7
- hkl 1 -4 1, 47.36°, 1.919 Å, I = 24.9

Atomic structure:
Cell lengths 7.8556, 7.8698, 8.1606 Å; angles 92.39, 118.14, 115.68 degrees
Space group P-1 (No. 2)
Unique sites:
Cs1 0.0000 0.0000 0.0000
Th1 0.3344 0.9998 0.6644
Au1 0.0574 0.5606 0.3040
Se1 0.1235 0.2310 0.6592
Se2 0.2835 0.7648 0.9299
Se3 0.4720 0.7559 0.5362

---

CsTl2AuSe: calculated powder X-ray diffraction pattern (Cu Kα (weighted mean of Kα1 and Kα2)), based on a structure optimized by DFT (PBE).

Most intense lines, 10 to 90 degrees two-theta, sorted by position:
- hkl 0 2 0, 12.13°, 7.299 Å, I = 77.5
- hkl 1 3 0, 25.76°, 3.459 Å, I = 22.6
- hkl 0 4 1, 26.01°, 3.426 Å, I = 70.4
- hkl 1 1 2, 26.21°, 3.400 Å, I = 83.1
- hkl 1 3 1, 27.30°, 3.267 Å, I = 33.6
- hkl 0 2 3, 29.60°, 3.018 Å, I = 23.8
- hkl 1 1 3, 33.17°, 2.701 Å, I = 100.0
- hkl 2 0 0, 36.56°, 2.458 Å, I = 51.8
- hkl 1 3 3, 37.59°, 2.393 Å, I = 48.2
- hkl 1 5 2, 40.24°, 2.241 Å, I = 42.2
- hkl 2 4 1, 45.40°, 1.998 Å, I = 37.6
- hkl 0 4 5, 52.38°, 1.747 Å, I = 24.0

Atomic structure:
Cell lengths 4.9163, 14.5988, 9.9440 Å; angles 90.00, 90.00, 90.00 degrees
Space group Cmcm (No. 63)
Unique sites:
Cs1 0.0000 0.0595 0.2500
Tl1 0.0000 0.3153 0.0711
Au1 0.0000 0.2199 0.7500
Se1 0.0000 0.5000 0.0000

---

CsUAuSe4: calculated powder X-ray diffraction pattern (Cu Kα (weighted mean of Kα1 and Kα2)), based on a structure optimized by DFT (PBE).

Most intense lines, 10 to 90 degrees two-theta, sorted by position:
- hkl 0 1 1, 15.97°, 5.549 Å, I = 44.2
- hkl 1 1 1, 21.55°, 4.123 Å, I = 33.2
- hkl 0 1 2, 22.95°, 3.875 Å, I = 27.8
- hkl 0 2 0, 25.88°, 3.443 Å, I = 64.1
- hkl 2 1 1, 32.30°, 2.771 Å, I = 100.0
- hkl 1 1 -3, 32.88°, 2.724 Å, I = 60.2
- hkl 2 1 2, 37.30°, 2.411 Å, I = 28.8
- hkl 2 2 0, 37.59°, 2.393 Å, I = 32.4
- hkl 2 2 -2, 40.87°, 2.208 Å, I = 28.6
- hkl 1 0 4, 42.42°, 2.131 Å, I = 27.5
- hkl 2 3 1, 49.89°, 1.828 Å, I = 22.2
- hkl 1 0 5, 52.23°, 1.751 Å, I = 27.7

Atomic structure:
Cell lengths 6.7021, 6.8852, 9.4401 Å; angles 90.00, 96.77, 90.00 degrees
Space group P2_1/m (No. 11)
Unique sites:
Cs1 0.2262 0.2500 0.0303
U1 0.1923 0.7500 0.4517
Au1 0.3291 0.2500 0.6304
Se1 0.0790 0.5225 0.6852
Se2 0.3367 0.7500 0.1958
Se3 0.4505 0.2500 0.3861

---

CsY2AuSe4: calculated powder X-ray diffraction pattern (Cu Kα (weighted mean of Kα1 and Kα2)), based on a structure optimized by DFT (PBE).

Most intense lines, 10 to 90 degrees two-theta, sorted by position:
- hkl 0 0 2, 11.94°, 7.411 Å, I = 30.1
- hkl 0 2 1, 13.34°, 6.635 Å, I = 41.6
- hkl 0 0 4, 24.02°, 3.705 Å, I = 27.0
- hkl 0 4 2, 26.89°, 3.316 Å, I = 28.3
- hkl 1 3 1, 28.40°, 3.142 Å, I = 41.0
- hkl 1 3 2, 30.30°, 2.950 Å, I = 100.0
- hkl 1 1 4, 32.70°, 2.739 Å, I = 17.3
- hkl 0 0 6, 36.39°, 2.469 Å, I = 24.5
- hkl 1 3 4, 37.02°, 2.428 Å, I = 20.7
- hkl 1 5 3, 41.42°, 2.180 Å, I = 50.1
- hkl 2 0 0, 42.74°, 2.115 Å, I = 27.4
- hkl 1 7 4, 54.40°, 1.686 Å, I = 18.7

Atomic structure:
Cell lengths 4.2310, 14.8430, 14.8123 Å; angles 90.00, 90.00, 90.00 degrees
Space group Cmcm (No. 63)
Unique sites:
Cs1 0.0000 0.1219 0.2500
Y1 0.0000 0.3717 0.0687
Au1 0.0000 0.1607 0.7500
Se1 0.0000 0.0000 0.0000
Se2 0.0000 0.2539 0.5980
Se3 0.0000 0.4422 0.2500

---

Cs2SiAu5: calculated powder X-ray diffraction pattern (Cu Kα (weighted mean of Kα1 and Kα2)), based on a structure optimized by DFT (PBE).

Most intense lines, 10 to 90 degrees two-theta, sorted by position:
- hkl 0 0 2, 15.87°, 5.586 Å, I = 17.3
- hkl 1 0 1, 16.02°, 5.533 Å, I = 19.1
- hkl 0 0 4, 32.05°, 2.793 Å, I = 19.2
- hkl 2 0 2, 32.37°, 2.766 Å, I = 100.0
- hkl 2 2 0, 40.04°, 2.252 Å, I = 31.4
- hkl 2 0 4, 43.08°, 2.100 Å, I = 11.8
- hkl 2 2 2, 43.34°, 2.088 Å, I = 7.4
- hkl 2 2 4, 52.18°, 1.753 Å, I = 18.9
- hkl 2 0 6, 57.32°, 1.607 Å, I = 11.4
- hkl 4 0 0, 57.92°, 1.592 Å, I = 10.4
- hkl 4 0 4, 67.75°, 1.383 Å, I = 8.4
- hkl 4 2 2, 67.93°, 1.380 Å, I = 21.4

Atomic structure:
Cell lengths 6.3685, 6.3685, 11.1719 Å; angles 90.00, 90.00, 90.00 degrees
Space group I4mm (No. 107)
Unique sites:
Cs1 0.0000 0.5000 0.0000
Si1 0.0000 0.0000 0.3312
Au1 0.0000 0.0000 0.5716
Au2 0.2375 0.2375 0.7533

---

CsSi2Au3: calculated powder X-ray diffraction pattern (Cu Kα (weighted mean of Kα1 and Kα2)), based on a structure optimized by DFT (PBE).

Most intense lines, 10 to 90 degrees two-theta, sorted by position:
- hkl 0 2 1, 23.05°, 3.858 Å, I = 11.4
- hkl 1 1 1, 26.96°, 3.307 Å, I = 9.9
- hkl 0 4 0, 28.67°, 3.113 Å, I = 42.0
- hkl 1 2 1, 29.74°, 3.004 Å, I = 100.0
- hkl 2 0 0, 37.57°, 2.394 Å, I = 23.0
- hkl 1 0 2, 41.29°, 2.186 Å, I = 12.4
- hkl 1 2 2, 43.89°, 2.063 Å, I = 7.7
- hkl 2 4 0, 47.93°, 1.898 Å, I = 20.8
- hkl 1 4 2, 51.05°, 1.789 Å, I = 11.5
- hkl 1 6 1, 51.46°, 1.776 Å, I = 26.3
- hkl 3 2 1, 63.02°, 1.475 Å, I = 12.2
- hkl 3 6 1, 77.97°, 1.225 Å, I = 8.0

Atomic structure:
Cell lengths 4.7887, 12.4539, 4.9147 Å; angles 90.00, 90.00, 90.00 degrees
Space group Pmmn (No. 59, origin choice 2)
Unique sites:
Cs1 0.2500 0.2500 0.1865
Si1 0.2500 0.5504 0.3383
Au1 0.2500 0.0022 0.8266
Au2 0.2500 0.7500 0.3381

---

Cs2SiAu3: calculated powder X-ray diffraction pattern (Cu Kα (weighted mean of Kα1 and Kα2)), based on a structure optimized by DFT (PBE).

Most intense lines, 10 to 90 degrees two-theta, sorted by position:
- hkl 1 1 0, 10.61°, 8.336 Å, I = 30.9
- hkl 2 0 0, 12.29°, 7.201 Å, I = 33.7
- hkl 3 1 1, 25.86°, 3.446 Å, I = 97.4
- hkl 2 2 1, 26.57°, 3.355 Å, I = 36.2
- hkl 1 3 0, 26.89°, 3.316 Å, I = 100.0
- hkl 5 1 0, 32.27°, 2.774 Å, I = 64.0
- hkl 1 1 -2, 33.46°, 2.678 Å, I = 79.7
- hkl 4 2 -1, 34.35°, 2.611 Å, I = 35.3
- hkl 0 2 2, 36.30°, 2.475 Å, I = 40.7
- hkl 4 2 2, 44.42°, 2.039 Å, I = 33.2
- hkl 0 4 2, 47.98°, 1.896 Å, I = 33.5
- hkl 5 3 2, 52.72°, 1.736 Å, I = 26.3

Atomic structure:
Cell lengths 14.4016, 10.2225, 5.6563 Å; angles 90.00, 90.06, 90.00 degrees
Space group C2/c (No. 15)
Unique sites:
Cs1 0.1533 0.1690 0.2504
Si1 0.0000 0.3742 0.7500
Au1 0.0000 0.1315 0.7500
Au2 0.1127 0.5000 0.0004

---

CsSiAu: calculated powder X-ray diffraction pattern (Cu Kα (weighted mean of Kα1 and Kα2)), based on a structure optimized by DFT (PBE).

Most intense lines, 10 to 90 degrees two-theta, sorted by position:
- hkl 0 0 2, 16.13°, 5.494 Å, I = 21.3
- hkl 1 0 1, 20.61°, 4.310 Å, I = 26.1
- hkl 1 1 0, 21.68°, 4.100 Å, I = 38.9
- hkl 0 2 2, 26.56°, 3.356 Å, I = 100.0
- hkl 1 2 1, 29.57°, 3.021 Å, I = 60.6
- hkl 1 0 3, 30.99°, 2.886 Å, I = 46.3
- hkl 0 0 4, 32.60°, 2.747 Å, I = 19.3
- hkl 0 3 1, 32.76°, 2.734 Å, I = 22.0
- hkl 2 0 0, 38.42°, 2.343 Å, I = 22.0
- hkl 1 3 2, 40.77°, 2.213 Å, I = 29.5
- hkl 2 2 2, 47.32°, 1.921 Å, I = 41.6
- hkl 1 2 5, 50.69°, 1.801 Å, I = 27.9

Atomic structure:
Cell lengths 4.6858, 8.4685, 10.9881 Å; angles 90.00, 90.00, 90.00 degrees
Space group Immm (No. 71)
Unique sites:
Cs1 0.0000 0.0000 0.2000
Si1 0.0000 0.3668 0.0000
Au1 0.0000 0.2085 0.5000

---

Cs3SnAu: calculated powder X-ray diffraction pattern (Cu Kα (weighted mean of Kα1 and Kα2)), based on a structure optimized by DFT (PBE).

Most intense lines, 10 to 90 degrees two-theta, sorted by position:
- hkl 1 1 -1, 12.37°, 7.155 Å, I = 31.9
- hkl 0 2 0, 15.86°, 5.586 Å, I = 35.8
- hkl 2 0 0, 17.56°, 5.051 Å, I = 45.1
- hkl 2 2 -2, 24.89°, 3.577 Å, I = 100.0
- hkl 1 3 -1, 25.76°, 3.458 Å, I = 68.8
- hkl 2 0 1, 25.90°, 3.441 Å, I = 64.1
- hkl 3 1 -3, 29.87°, 2.992 Å, I = 69.0
- hkl 0 4 0, 32.05°, 2.793 Å, I = 36.6
- hkl 4 2 -2, 33.26°, 2.694 Å, I = 30.5
- hkl 0 2 3, 37.99°, 2.369 Å, I = 31.4
- hkl 1 1 -4, 42.37°, 2.133 Å, I = 29.2
- hkl 3 5 -3, 50.32°, 1.813 Å, I = 32.1

Atomic structure:
Cell lengths 12.3521, 11.1729, 9.5927 Å; angles 90.00, 125.13, 90.00 degrees
Space group C2/m (No. 12)
Unique sites:
Cs1 0.1038 0.0000 0.3096
Cs2 0.2267 0.2987 0.1967
Sn1 0.0083 0.5000 0.3572
Au1 0.2453 0.0000 0.0712

---

CsSn4Au6: calculated powder X-ray diffraction pattern (Cu Kα (weighted mean of Kα1 and Kα2)), based on a structure optimized by DFT (PBE).

Most intense lines, 10 to 90 degrees two-theta, sorted by position:
- hkl 1 0 -1, 15.59°, 5.685 Å, I = 37.2
- hkl 1 0 -2, 27.80°, 3.210 Å, I = 48.4
- hkl 2 0 0, 29.15°, 3.064 Å, I = 78.9
- hkl 1 2 -2, 30.66°, 2.916 Å, I = 77.4
- hkl 2 0 -2, 31.47°, 2.843 Å, I = 52.0
- hkl 1 -2 2, 34.58°, 2.594 Å, I = 53.0
- hkl 1 1 1, 36.54°, 2.459 Å, I = 100.0
- hkl -1 1 2, 37.54°, 2.396 Å, I = 51.2
- hkl 2 2 -2, 38.41°, 2.344 Å, I = 39.8
- hkl 1 -3 1, 39.22°, 2.297 Å, I = 49.4
- hkl 2 0 1, 39.38°, 2.288 Å, I = 73.8
- hkl 3 -2 0, 44.68°, 2.028 Å, I = 45.4

Atomic structure:
Cell lengths 6.9560, 7.0966, 7.3168 Å; angles 118.68, 110.61, 96.27 degrees
Space group P1 (No. 1)
Unique sites:
Cs1 0.0000 0.0000 0.0000
Sn1 0.1446 0.2579 0.6813
Sn2 0.5328 0.5587 0.3709
Sn3 0.5892 0.9696 0.2486
Sn4 0.6695 0.4084 0.8025
Au1 0.1159 0.5367 0.0804
Au2 0.3828 0.9524 0.5091
Au3 0.3961 0.6581 0.7275
Au4 0.4980 0.1607 0.9844
Au5 0.9016 0.7749 0.3503
Au6 0.9206 0.4473 0.4663